(1)
Cu3OF5: calculated PXRD pattern (Cu Kα X-rays), based on a DFT-relaxed cell (GGA-PBE, Alexandria).

Largest 6 diffraction maxima, sorted by position, 10 to 90 degrees two-theta:
Position (°2θ)	d (Å)	I (rel.)
26.1	3.412	100
28.1	3.172	85
33.5	2.674	40
33.8	2.653	37
35.5	2.526	24
53.7	1.707	52

Cell lengths 4.6660, 5.7534, 7.6404 Å; angles 91.70, 90.41, 95.57 degrees
Atoms (fractional coordinates):
Cu 0.0000 0.0000 0.0000
Cu 0.0034 0.6838 0.6679
Cu 0.4641 0.1648 0.6858
Cu 0.4689 0.8303 0.3477
Cu 0.4955 0.4970 0.0086
Cu 0.9958 0.3539 0.3496
O 0.1770 0.6404 0.4480
O 0.1829 0.9605 0.7771
F 0.1987 0.2896 0.1114
F 0.2655 0.1634 0.4630
F 0.2790 0.4776 0.7940
F 0.2868 0.8005 0.1235
F 0.6731 0.8640 0.5614
F 0.6835 0.1817 0.9032
F 0.7087 0.5169 0.2261
F 0.7663 0.3795 0.5905
F 0.7844 0.0359 0.2432
F 0.7923 0.6978 0.8994

***

(2)
Cu4O3F: calculated PXRD pattern (Cu Kα X-rays), based on a DFT-relaxed cell (GGA-PBE, Alexandria).

Largest 6 diffraction maxima, sorted by position, 10 to 90 degrees two-theta:
Position (°2θ)	d (Å)	I (rel.)
20.2	4.396	100
34.3	2.614	34
38.3	2.348	25
38.6	2.333	24
41.1	2.195	29
42.5	2.126	25

Cell lengths 5.1050, 5.1223, 5.2459 Å; angles 62.62, 63.09, 65.39 degrees
Atoms (fractional coordinates):
Cu 0.0000 0.0000 0.0000
Cu 0.0340 0.5460 0.7318
Cu 0.4840 0.5224 0.9966
Cu 0.8372 0.3515 0.5040
O 0.0946 0.6083 0.3300
O 0.2433 0.7668 0.7433
O 0.8177 0.3331 0.1446
F 0.5736 0.0972 0.8062

***

(3)
Cu4OF6: calculated PXRD pattern (Cu Kα X-rays), based on a DFT-relaxed cell (GGA-PBE, Alexandria).

Largest 6 diffraction maxima, sorted by position, 10 to 90 degrees two-theta:
Position (°2θ)	d (Å)	I (rel.)
31.4	2.852	100
37.1	2.424	13
46.1	1.970	18
51.8	1.764	21
53.5	1.714	21
63.3	1.469	23

Cell lengths 6.8565, 6.8565, 5.1424 Å; angles 90.00, 90.00, 90.00 degrees
Atoms (fractional coordinates):
Cu 0.0060 0.7500 0.0630
Cu 0.2500 0.5060 0.4370
Cu 0.2500 0.9940 0.4370
Cu 0.4940 0.7500 0.0630
Cu 0.5060 0.2500 0.9370
Cu 0.7500 0.0060 0.5630
Cu 0.7500 0.4940 0.5630
Cu 0.9940 0.2500 0.9370
O 0.2500 0.7500 0.2500
O 0.7500 0.2500 0.7500
F 0.0403 0.5403 0.7500
F 0.0403 0.9597 0.7500
F 0.2500 0.2500 0.0850
F 0.2500 0.2500 0.5850
F 0.4597 0.5403 0.7500
F 0.4597 0.9597 0.7500
F 0.5403 0.0403 0.2500
F 0.5403 0.4597 0.2500
F 0.7500 0.7500 0.4150
F 0.7500 0.7500 0.9150
F 0.9597 0.0403 0.2500
F 0.9597 0.4597 0.2500

***

(4)
Cu3OF5: calculated PXRD pattern (Cu Kα X-rays), based on a DFT-relaxed cell (GGA-PBE, Alexandria).

Largest 6 diffraction maxima, sorted by position, 10 to 90 degrees two-theta:
Position (°2θ)	d (Å)	I (rel.)
27.5	3.244	100
33.2	2.697	24
34.2	2.622	36
51.7	1.769	18
53.7	1.706	17
56.8	1.622	18

Cell lengths 4.5751, 4.6108, 10.3454 Å; angles 90.00, 112.44, 90.00 degrees
Atoms (fractional coordinates):
Cu 0.0000 0.2079 0.0000
Cu 0.0000 0.7921 0.5000
Cu 0.3794 0.2516 0.3407
Cu 0.3794 0.7484 0.8407
Cu 0.6992 0.2549 0.6575
Cu 0.6992 0.7451 0.1575
O 0.7209 0.0871 0.4995
O 0.7209 0.9129 0.9995
F 0.0668 0.0289 0.8429
F 0.0668 0.9711 0.3429
F 0.2887 0.4964 0.4879
F 0.2887 0.5036 0.9879
F 0.4182 0.0343 0.1755
F 0.4182 0.9657 0.6755
F 0.6451 0.4412 0.8144
F 0.6451 0.5588 0.3144
F 0.9918 0.4259 0.1646
F 0.9918 0.5741 0.6646

***

(5)
Cu6OF11: calculated PXRD pattern (Cu Kα X-rays), based on a DFT-relaxed cell (GGA-PBE, Alexandria).

Largest 6 diffraction maxima, sorted by position, 10 to 90 degrees two-theta:
Position (°2θ)	d (Å)	I (rel.)
26.4	3.381	100
27.4	3.254	91
33.9	2.641	34
34.0	2.639	33
34.9	2.570	52
50.9	1.794	33

Cell lengths 3.1346, 6.5089, 10.6603 Å; angles 72.23, 87.71, 89.92 degrees
Atoms (fractional coordinates):
Cu 0.0000 0.0000 0.0000
Cu 0.0050 0.3449 0.3337
Cu 0.4831 0.1782 0.6649
Cu 0.5004 0.5372 0.0000
Cu 0.5157 0.8443 0.3350
Cu 0.9943 0.6774 0.6663
O 0.0000 0.7114 0.0001
F 0.0002 0.3117 0.9999
F 0.0161 0.0399 0.3361
F 0.0169 0.6469 0.3374
F 0.4346 0.0775 0.8622
F 0.4935 0.6154 0.7925
F 0.4943 0.7436 0.5346
F 0.5045 0.2788 0.4653
F 0.5061 0.4082 0.2075
F 0.5651 0.9404 0.1378
F 0.9822 0.9833 0.6625
F 0.9826 0.3751 0.6638

***

(6)
Cu3OF5: calculated PXRD pattern (Cu Kα X-rays), based on a DFT-relaxed cell (GGA-PBE, Alexandria).

Largest 6 diffraction maxima, sorted by position, 10 to 90 degrees two-theta:
Position (°2θ)	d (Å)	I (rel.)
26.1	3.412	100
28.1	3.177	86
33.7	2.661	38
33.9	2.647	37
35.5	2.531	24
53.5	1.712	31

Cell lengths 5.4826, 5.7776, 7.0657 Å; angles 76.17, 73.29, 74.78 degrees
Atoms (fractional coordinates):
Cu 0.0000 0.0000 0.0000
Cu 0.0011 0.0151 0.5006
Cu 0.3462 0.3564 0.6547
Cu 0.3517 0.3471 0.1778
Cu 0.6678 0.6685 0.3227
Cu 0.6858 0.6880 0.8445
O 0.4502 0.4476 0.3700
O 0.7816 0.7719 0.0419
F 0.0416 0.6439 0.6815
F 0.1025 0.1210 0.7026
F 0.2426 0.2512 0.9665
F 0.3254 0.7373 0.9847
F 0.3552 0.9600 0.3487
F 0.5929 0.5924 0.6331
F 0.6452 0.0706 0.6571
F 0.7011 0.2923 0.0201
F 0.8968 0.8961 0.3080
F 0.9972 0.3790 0.3290

***

(7)
Cu6OF11: calculated PXRD pattern (Cu Kα X-rays), based on a DFT-relaxed cell (GGA-PBE, Alexandria).

Largest 6 diffraction maxima, sorted by position, 10 to 90 degrees two-theta:
Position (°2θ)	d (Å)	I (rel.)
26.6	3.350	100
27.4	3.250	93
33.8	2.650	69
34.8	2.578	55
52.7	1.736	32
53.1	1.724	32

Cell lengths 4.6700, 5.5527, 7.9718 Å; angles 86.98, 87.64, 89.43 degrees
Atoms (fractional coordinates):
Cu 0.0000 0.0000 0.0000
Cu 0.0039 0.3366 0.6700
Cu 0.4919 0.5042 0.0055
Cu 0.5110 0.1536 0.3396
Cu 0.5212 0.8330 0.6556
Cu 0.9840 0.6797 0.3423
O 0.7023 0.8749 0.4364
F 0.1890 0.9615 0.2354
F 0.1984 0.3003 0.9096
F 0.2035 0.6282 0.5814
F 0.2900 0.4679 0.2444
F 0.3023 0.1363 0.5695
F 0.3110 0.8046 0.8943
F 0.6929 0.2033 0.1040
F 0.6993 0.5325 0.7716
F 0.7943 0.7071 0.0895
F 0.7974 0.3836 0.4350
F 0.8101 0.0409 0.7676

***

(8)
CuO2F: calculated PXRD pattern (Cu Kα X-rays), based on a DFT-relaxed cell (GGA-PBE, Alexandria).

Largest 6 diffraction maxima, sorted by position, 10 to 90 degrees two-theta:
Position (°2θ)	d (Å)	I (rel.)
21.7	4.088	73
28.7	3.111	100
31.5	2.839	26
35.5	2.530	22
42.7	2.118	38
49.6	1.837	21

Cell lengths 6.4404, 8.1755, 3.9450 Å; angles 90.00, 90.00, 90.00 degrees
Atoms (fractional coordinates):
Cu 0.2162 0.0000 0.0000
Cu 0.2838 0.5000 0.5000
Cu 0.7162 0.5000 0.0000
Cu 0.7838 0.0000 0.5000
O 0.0998 0.3865 0.7808
O 0.0998 0.6135 0.2192
O 0.4002 0.1135 0.2808
O 0.4002 0.8865 0.7192
O 0.5998 0.1135 0.2192
O 0.5998 0.8865 0.7808
O 0.9002 0.3865 0.7192
O 0.9002 0.6135 0.2808
F 0.0000 0.1084 0.2500
F 0.0000 0.8916 0.7500
F 0.5000 0.3916 0.7500
F 0.5000 0.6084 0.2500

***

(9)
CuOsO4F: calculated PXRD pattern (Cu Kα X-rays), based on a DFT-relaxed cell (GGA-PBE, Alexandria).

Largest 6 diffraction maxima, sorted by position, 10 to 90 degrees two-theta:
Position (°2θ)	d (Å)	I (rel.)
22.6	3.940	42
23.2	3.841	100
23.9	3.725	85
25.6	3.480	79
34.8	2.579	55
35.3	2.543	43

Cell lengths 5.1799, 5.1799, 7.9305 Å; angles 100.62, 100.62, 84.41 degrees
Atoms (fractional coordinates):
Cu 0.1904 0.1904 0.2415
Cu 0.8096 0.8096 0.7585
Os 0.3307 0.3307 0.7288
Os 0.6693 0.6693 0.2712
O 0.1152 0.5607 0.8357
O 0.1928 0.1928 0.5156
O 0.4393 0.8848 0.1643
O 0.4527 0.4527 0.3128
O 0.5473 0.5473 0.6872
O 0.5607 0.1152 0.8357
O 0.8072 0.8072 0.4844
O 0.8848 0.4393 0.1643
F 0.0769 0.0769 0.7995
F 0.9231 0.9231 0.2005

***

(10)
CuP2O6F: calculated PXRD pattern (Cu Kα X-rays), based on a DFT-relaxed cell (GGA-PBE, Alexandria).

Largest 6 diffraction maxima, sorted by position, 10 to 90 degrees two-theta:
Position (°2θ)	d (Å)	I (rel.)
20.1	4.420	51
25.2	3.528	30
26.4	3.376	100
28.0	3.183	22
28.8	3.096	22
36.9	2.436	14

Cell lengths 7.3826, 7.3826, 4.9107 Å; angles 106.88, 106.88, 87.74 degrees
Atoms (fractional coordinates):
Cu 0.1880 0.8120 0.7500
Cu 0.8120 0.1880 0.2500
P 0.1956 0.3817 0.3049
P 0.3817 0.1956 0.8049
P 0.6183 0.8044 0.1951
P 0.8044 0.6183 0.6951
O 0.0206 0.6399 0.7759
O 0.2478 0.2966 0.9996
O 0.2700 0.5831 0.4394
O 0.2966 0.2478 0.4996
O 0.3601 0.9794 0.7241
O 0.4169 0.7300 0.0606
O 0.5831 0.2700 0.9394
O 0.6399 0.0206 0.2759
O 0.7034 0.7522 0.5004
O 0.7300 0.4169 0.5606
O 0.7522 0.7034 0.0004
O 0.9794 0.3601 0.2241
F 0.0146 0.9854 0.7500
F 0.9854 0.0146 0.2500

***

(11)
Pa3CuO8F3: calculated PXRD pattern (Cu Kα X-rays), based on a DFT-relaxed cell (GGA-PBE, Alexandria).

Largest 6 diffraction maxima, sorted by position, 10 to 90 degrees two-theta:
Position (°2θ)	d (Å)	I (rel.)
27.6	3.237	100
28.7	3.105	84
31.8	2.814	33
33.0	2.712	63
46.5	1.952	82
55.0	1.668	30

Cell lengths 5.4330, 5.4330, 5.6275 Å; angles 90.00, 90.00, 93.47 degrees
Atoms (fractional coordinates):
Pa 0.0000 0.0000 0.0000
Pa 0.0000 0.5000 0.5000
Pa 0.5000 0.0000 0.5000
Cu 0.5000 0.5000 0.0000
O 0.1911 0.8089 0.2871
O 0.1911 0.8089 0.7130
O 0.2819 0.2819 0.2540
O 0.2819 0.2819 0.7460
O 0.7181 0.7181 0.2540
O 0.7181 0.7181 0.7460
O 0.8089 0.1911 0.2871
O 0.8089 0.1911 0.7130
F 0.0000 0.5000 0.0000
F 0.5000 0.0000 0.0000
F 0.5000 0.5000 0.5000

***

(12)
CuSOF: calculated PXRD pattern (Cu Kα X-rays), based on a DFT-relaxed cell (GGA-PBE, Alexandria).

Largest 6 diffraction maxima, sorted by position, 10 to 90 degrees two-theta:
Position (°2θ)	d (Å)	I (rel.)
18.9	4.693	92
26.4	3.379	68
28.0	3.191	41
35.4	2.538	100
42.9	2.109	64
60.0	1.541	26

Cell lengths 4.5054, 5.0604, 5.1757 Å; angles 111.16, 91.17, 95.19 degrees
Atoms (fractional coordinates):
Cu 0.0000 0.0000 0.0000
Cu 0.5000 0.0000 0.5000
S 0.0911 0.3399 0.8123
S 0.9089 0.6601 0.1877
O 0.1542 0.7183 0.4183
O 0.8458 0.2817 0.5817
F 0.3531 0.1447 0.2248
F 0.6469 0.8553 0.7752